(1)
Calculated powder diffractogram of RbCeF4 for Cu Kα (weighted mean of Kα1 and Kα2), from a GGA-PBE-relaxed structure.
Peak positions follow from Bragg's law for the DFT cell and can differ from measured ones.

Principal peaks in the range 2θ = 10–80°, sorted by position:
d 3.463, I 1000; d 3.255, I 416; d 3.226, I 832; d 3.126, I 456; d 2.255, I 623; d 1.917, I 282; d 1.906, I 605; d 1.874, I 264

Cell and atoms:
Cell: 6.5103 3.8143 16.3590 Å, 90.00 90.00 90.00°
Element x y z (fractional)
Rb 0.2230 0.2500 0.2002
Rb 0.2770 0.7500 0.7002
Rb 0.7230 0.2500 0.2998
Rb 0.7770 0.7500 0.7998
Ce 0.2480 0.7500 0.4419
Ce 0.2520 0.2500 0.9419
Ce 0.7480 0.7500 0.0581
Ce 0.7520 0.2500 0.5581
F 0.0007 0.7500 0.9442
F 0.0988 0.2500 0.8134
F 0.1079 0.2500 0.3700
F 0.1335 0.2500 0.5362
F 0.3665 0.7500 0.0362
F 0.3921 0.7500 0.8700
F 0.4012 0.7500 0.3134
F 0.4993 0.2500 0.4442
F 0.5007 0.7500 0.5558
F 0.5988 0.2500 0.6866
F 0.6079 0.2500 0.1300
F 0.6335 0.2500 0.9638
F 0.8665 0.7500 0.4638
F 0.8921 0.7500 0.6300
F 0.9012 0.7500 0.1866
F 0.9993 0.2500 0.0558

***

(2)
Calculated powder diffractogram of RbLaTaGeTe for Cu Kα (weighted mean of Kα1 and Kα2), from a GGA-PBE-relaxed structure.
Peak positions follow from Bragg's law for the DFT cell and can differ from measured ones.

Principal peaks in the range 2θ = 10–80°, sorted by position:
d 3.909, I 205; d 3.040, I 1000; d 2.487, I 138; d 2.257, I 430; d 1.812, I 223; d 1.650, I 169; d 1.413, I 196; d 1.303, I 127

Cell and atoms:
Cell: 4.5138 4.5138 9.6715 Å, 90.00 90.00 120.00°
Element x y z (fractional)
Rb 0.0000 0.0000 0.0000
La 0.0000 0.0000 0.5365
Ta 0.6667 0.3333 0.3065
Ge 0.3333 0.6667 0.3189
Te 0.6667 0.3333 0.7351

***

(3)
Calculated powder diffractogram of BaLi3P2 for Cu Kα (weighted mean of Kα1 and Kα2), from a GGA-PBE-relaxed structure.
Peak positions follow from Bragg's law for the DFT cell and can differ from measured ones.

Principal peaks in the range 2θ = 10–80°, sorted by position:
d 7.071, I 1000; d 3.841, I 371; d 3.235, I 299; d 3.201, I 900; d 2.871, I 546; d 2.749, I 302; d 2.655, I 306; d 2.377, I 297

Cell and atoms:
Cell: 8.0208 8.0208 7.7290 Å, 112.85 112.85 31.58°
Element x y z (fractional)
Ba 0.1536 0.1536 0.0861
Ba 0.8464 0.8464 0.9139
Li 0.0242 0.0242 0.3443
Li 0.3191 0.3191 0.5518
Li 0.3995 0.3995 0.3105
Li 0.6005 0.6005 0.6895
Li 0.6809 0.6809 0.4482
Li 0.9758 0.9758 0.6557
P 0.1717 0.1717 0.6513
P 0.4838 0.4838 0.8433
P 0.5162 0.5162 0.1567
P 0.8283 0.8283 0.3487

***

(4)
Calculated powder diffractogram of As3Ir for Cu Kα (weighted mean of Kα1 and Kα2), from a GGA-PBE-relaxed structure.
Peak positions follow from Bragg's law for the DFT cell and can differ from measured ones.

Principal peaks in the range 2θ = 10–80°, sorted by position:
d 4.297, I 805; d 3.038, I 618; d 2.718, I 657; d 2.481, I 305; d 1.922, I 1000; d 1.754, I 624; d 1.685, I 252; d 1.359, I 216

Cell and atoms:
Cell: 7.4422 7.4422 7.4422 Å, 109.47 109.47 109.47°
Element x y z (fractional)
As 0.1459 0.4939 0.3480
As 0.1459 0.7980 0.6520
As 0.2020 0.3480 0.8541
As 0.3480 0.1459 0.4939
As 0.3480 0.8541 0.2020
As 0.4939 0.3480 0.1459
As 0.5061 0.6520 0.8541
As 0.6520 0.1459 0.7980
As 0.6520 0.8541 0.5061
As 0.7980 0.6520 0.1459
As 0.8541 0.2020 0.3480
As 0.8541 0.5061 0.6520
Ir 0.0000 0.0000 0.5000
Ir 0.0000 0.5000 0.0000
Ir 0.5000 0.0000 0.0000
Ir 0.5000 0.5000 0.5000